# 1
Starting from a cell relaxed with PBE, the powder diffractogram of Sm11In9Ni4 was computed for Cu Kα.
Neutral-atom scattering factors, no anomalous dispersion.

Crystal structure
```
data_Sm11In9Ni4
_chemical_formula_sum 'Sm22 In18 Ni8'
_cell_length_a 15.0098
_cell_length_b 22.6610
_cell_length_c 3.7426
_cell_angle_alpha 90.00
_cell_angle_beta 90.00
_cell_angle_gamma 90.00
_symmetry_space_group_name_H-M 'C m m m'
_symmetry_Int_Tables_number 65
_symmetry_space_group_name_Hall '-C 2 2'
loop_
_atom_site_label
_atom_site_fract_x
_atom_site_fract_y
_atom_site_fract_z
Sm1 0.0000 0.0000 0.0000
Sm2 0.0000 0.1597 0.0000
Sm3 0.0000 0.3747 0.0000
Sm4 0.1880 0.5000 0.0000
Sm5 0.2489 0.1695 0.0000
In1 0.0000 0.5000 0.5000
In2 0.1022 0.2649 0.5000
In3 0.1510 0.0700 0.5000
Ni1 0.1513 0.3972 0.5000
```

Most intense lines, 10° ≤ 2θ ≤ 90°, low angle first:
2θ (°)	d_spacing	I_rel	hkl
30.1	2.971	15	3 1 1
32.1	2.786	16	3 3 1
33.7	2.660	100	0 6 1
33.8	2.650	63	4 0 1
35.9	2.502	20	3 5 1
36.8	2.443	16	6 2 0
48.7	1.871	17	0 0 2
60.5	1.531	20	4 6 2

# 2
Starting from a cell relaxed with PBE, the powder diffractogram of K3Nb2Cu3S8 was computed for Cu Kα.
Neutral-atom scattering factors, no anomalous dispersion.

Crystal structure
```
data_K3Nb2Cu3S8
_chemical_formula_sum 'K12 Nb8 Cu12 S32'
_cell_length_a 23.8547
_cell_length_b 5.5736
_cell_length_c 14.5235
_cell_angle_alpha 90.00
_cell_angle_beta 120.33
_cell_angle_gamma 90.00
_symmetry_space_group_name_H-M 'C 1 2/c 1'
_symmetry_Int_Tables_number 15
_symmetry_space_group_name_Hall '-C 2yc'
loop_
_atom_site_label
_atom_site_fract_x
_atom_site_fract_y
_atom_site_fract_z
K1 0.0000 0.0000 0.0000
K2 0.1928 0.4601 0.0947
Nb1 0.1253 0.2828 0.7793
Cu1 0.0000 0.2787 0.7500
Cu2 0.1220 0.2175 0.2801
S1 0.0385 0.4793 0.1615
S2 0.0895 0.0460 0.8711
S3 0.1560 0.0297 0.6866
S4 0.2086 0.4675 0.3899
```

Most intense lines, 10° ≤ 2θ ≤ 90°, low angle first:
2θ (°)	d_spacing	I_rel	hkl
12.3	7.210	27	2 0 -2
14.1	6.268	100	0 0 2
15.8	5.600	35	4 0 -2
17.2	5.147	23	4 0 0
25.2	3.536	23	2 0 -4
30.3	2.952	30	5 1 -4
43.4	2.083	28	10 0 -6
44.6	2.030	24	8 2 -2

# 3
Starting from a cell relaxed with PBE, the powder diffractogram of DyGePd was computed for Cu Kα.
Neutral-atom scattering factors, no anomalous dispersion.

Crystal structure
```
data_DyGePd
_chemical_formula_sum 'Dy12 Ge12 Pd12'
_cell_length_a 4.4144
_cell_length_b 21.0220
_cell_length_c 7.6320
_cell_angle_alpha 90.00
_cell_angle_beta 90.00
_cell_angle_gamma 90.00
_symmetry_space_group_name_H-M 'I m m 2'
_symmetry_Int_Tables_number 44
_symmetry_space_group_name_Hall 'I 2 -2'
loop_
_atom_site_label
_atom_site_fract_x
_atom_site_fract_y
_atom_site_fract_z
Dy1 0.0000 0.0000 0.0000
Dy2 0.0000 0.1664 0.9169
Dy3 0.0000 0.3327 0.9935
Dy4 0.0000 0.5000 0.9165
Ge1 0.0000 0.0938 0.2961
Ge2 0.0000 0.2648 0.6142
Ge3 0.0000 0.4352 0.2971
Pd1 0.0000 0.0722 0.6286
Pd2 0.0000 0.2333 0.2853
Pd3 0.0000 0.3959 0.6247
```

Most intense lines, 10° ≤ 2θ ≤ 90°, low angle first:
2θ (°)	d_spacing	I_rel	hkl
33.6	2.669	21	1 3 2
34.7	2.582	100	1 6 1
40.4	2.234	11	0 9 1
40.9	2.205	62	2 0 0
54.7	1.677	21	2 6 2
66.8	1.401	12	1 9 4
68.4	1.372	11	2 12 0
70.5	1.335	13	3 6 1

# 4
Starting from a cell relaxed with PBE, the powder diffractogram of LiY4Ti4S4O10 was computed for Cu Kα.
Neutral-atom scattering factors, no anomalous dispersion.

Crystal structure
```
data_LiY4Ti4S4O10
_chemical_formula_sum 'Li2 Y8 Ti8 S8 O20'
_cell_length_a 5.4648
_cell_length_b 22.6068
_cell_length_c 5.4654
_cell_angle_alpha 90.00
_cell_angle_beta 90.89
_cell_angle_gamma 90.00
_symmetry_space_group_name_H-M 'C 1 2/m 1'
_symmetry_Int_Tables_number 12
_symmetry_space_group_name_Hall '-C 2y'
loop_
_atom_site_label
_atom_site_fract_x
_atom_site_fract_y
_atom_site_fract_z
Li1 0.0000 0.0000 0.0000
Y1 0.2487 0.1659 0.2485
Ti1 0.2450 0.4177 0.2551
S1 0.2486 0.2047 0.7510
O1 0.0000 0.0945 0.0000
O2 0.0000 0.1006 0.5000
O3 0.0000 0.3994 0.0000
O4 0.0000 0.3990 0.5000
O5 0.2421 0.0000 0.7580
```

Most intense lines, 10° ≤ 2θ ≤ 90°, low angle first:
2θ (°)	d_spacing	I_rel	hkl
15.7	5.652	82	0 4 0
25.8	3.460	47	1 3 -1
26.1	3.417	52	1 3 1
32.8	2.732	100	2 0 0
36.1	2.486	45	1 7 -1
36.4	2.470	45	1 7 1
46.6	1.947	37	2 0 -2
47.4	1.917	37	2 0 2

# 5
Starting from a cell relaxed with PBE, the powder diffractogram of YCo4B was computed for Cu Kα.
Neutral-atom scattering factors, no anomalous dispersion.

Crystal structure
```
data_YCo4B
_chemical_formula_sum 'Y2 Co8 B2'
_cell_length_a 5.0191
_cell_length_b 5.0191
_cell_length_c 6.8238
_cell_angle_alpha 90.00
_cell_angle_beta 90.00
_cell_angle_gamma 120.00
_symmetry_space_group_name_H-M 'P 6/m m m'
_symmetry_Int_Tables_number 191
_symmetry_space_group_name_Hall '-P 6 2'
loop_
_atom_site_label
_atom_site_fract_x
_atom_site_fract_y
_atom_site_fract_z
Y1 0.0000 0.0000 0.0000
Y2 0.0000 0.0000 0.5000
Co1 0.0000 0.5000 0.2117
Co2 0.3333 0.6667 0.5000
B1 0.3333 0.6667 0.0000
```

Most intense lines, 10° ≤ 2θ ≤ 90°, low angle first:
2θ (°)	d_spacing	I_rel	hkl
33.4	2.684	62	1 0 2
35.8	2.510	20	1 1 0
41.6	2.173	80	2 0 0
44.8	2.022	100	1 1 2
49.7	1.833	18	2 0 2
62.8	1.480	19	2 1 2
70.6	1.334	24	3 0 2
75.8	1.255	24	2 2 0

# 6
Starting from a cell relaxed with PBE, the powder diffractogram of Er2Pd2Pb was computed for Cu Kα.
Neutral-atom scattering factors, no anomalous dispersion.

Crystal structure
```
data_Er2Pd2Pb
_chemical_formula_sum 'Er4 Pd4 Pb2'
_cell_length_a 7.9327
_cell_length_b 7.9327
_cell_length_c 3.5526
_cell_angle_alpha 90.00
_cell_angle_beta 90.00
_cell_angle_gamma 90.00
_symmetry_space_group_name_H-M 'P 4/m b m'
_symmetry_Int_Tables_number 127
_symmetry_space_group_name_Hall '-P 4 2ab'
loop_
_atom_site_label
_atom_site_fract_x
_atom_site_fract_y
_atom_site_fract_z
Er1 0.1691 0.3309 0.0000
Pd1 0.1263 0.6263 0.5000
Pb1 0.0000 0.0000 0.5000
```

Most intense lines, 10° ≤ 2θ ≤ 90°, low angle first:
2θ (°)	d_spacing	I_rel	hkl
31.9	2.805	11	2 2 0
33.9	2.646	30	2 0 1
35.8	2.510	100	3 1 0
51.5	1.775	15	0 0 2
55.5	1.655	9	3 3 1
64.3	1.450	15	3 1 2
65.5	1.425	10	5 1 1
69.0	1.361	10	5 2 1

# 7
Starting from a cell relaxed with PBE, the powder diffractogram of Nd3Mn4Sn4 was computed for Cu Kα.
Neutral-atom scattering factors, no anomalous dispersion.

Crystal structure
```
data_Nd3Mn4Sn4
_chemical_formula_sum 'Nd6 Mn8 Sn8'
_cell_length_a 4.6195
_cell_length_b 7.4127
_cell_length_c 15.1276
_cell_angle_alpha 90.00
_cell_angle_beta 90.00
_cell_angle_gamma 90.00
_symmetry_space_group_name_H-M 'I m m m'
_symmetry_Int_Tables_number 71
_symmetry_space_group_name_Hall '-I 2 2'
loop_
_atom_site_label
_atom_site_fract_x
_atom_site_fract_y
_atom_site_fract_z
Nd1 0.0000 0.0000 0.0000
Nd2 0.0000 0.5000 0.1277
Mn1 0.0000 0.3136 0.3279
Sn1 0.0000 0.0000 0.2161
Sn2 0.0000 0.1989 0.5000
```

Most intense lines, 10° ≤ 2θ ≤ 90°, low angle first:
2θ (°)	d_spacing	I_rel	hkl
31.5	2.839	100	1 2 1
31.9	2.801	30	0 1 5
32.9	2.722	99	1 1 4
39.0	2.310	42	2 0 0
40.7	2.219	22	0 3 3
43.3	2.092	35	1 2 5
51.3	1.782	16	2 1 5
71.3	1.323	21	1 5 4

# 8
Starting from a cell relaxed with PBE, the powder diffractogram of FeCo5N4 was computed for Cu Kα.
Neutral-atom scattering factors, no anomalous dispersion.

Crystal structure
```
data_FeCo5N4
_chemical_formula_sum 'Fe2 Co10 N8'
_cell_length_a 5.8868
_cell_length_b 6.8388
_cell_length_c 4.5277
_cell_angle_alpha 90.00
_cell_angle_beta 90.00
_cell_angle_gamma 90.00
_symmetry_space_group_name_H-M 'P m m n'
_symmetry_Int_Tables_number 59
loop_
_symmetry_equiv_pos_as_xyz
'x,y,z'
'-x,-y,-z'
'-x+1/2,-y+1/2,z'
'x+1/2,y+1/2,-z'
'x+1/2,-y,-z'
'-x+1/2,y,z'
'-x,y+1/2,-z'
'x,-y+1/2,z'
loop_
_atom_site_label
_atom_site_fract_x
_atom_site_fract_y
_atom_site_fract_z
Fe1 0.2500 0.2500 0.1793
Co1 0.0249 0.5652 0.2475
Co2 0.2500 0.7500 0.7389
N1 0.0262 0.2500 0.4693
N2 0.2500 0.0116 0.9545
```

Most intense lines, 10° ≤ 2θ ≤ 90°, low angle first:
2θ (°)	d_spacing	I_rel	hkl
38.8	2.321	100	2 1 1
39.8	2.264	50	0 0 2
40.4	2.231	57	2 2 0
44.5	2.036	100	0 3 1
58.0	1.589	60	2 2 2
63.2	1.472	17	4 0 0
80.2	1.196	27	2 5 1
80.5	1.193	23	4 3 1

# 9
Starting from a cell relaxed with PBE, the powder diffractogram of FeCu5S4 was computed for Cu Kα.
Neutral-atom scattering factors, no anomalous dispersion.

Crystal structure
```
data_FeCu5S4
_chemical_formula_sum 'Fe3 Cu15 S12'
_cell_length_a 3.8427
_cell_length_b 3.8427
_cell_length_c 37.8071
_cell_angle_alpha 90.00
_cell_angle_beta 90.00
_cell_angle_gamma 120.00
_symmetry_space_group_name_H-M 'R 3 m'
_symmetry_Int_Tables_number 160
_symmetry_space_group_name_Hall 'R 3 -2"'
loop_
_atom_site_label
_atom_site_fract_x
_atom_site_fract_y
_atom_site_fract_z
Fe1 0.0000 0.0000 0.0000
Cu1 0.0000 0.0000 0.2452
Cu2 0.0000 0.0000 0.4740
Cu3 0.0000 0.0000 0.6191
Cu4 0.0000 0.0000 0.7395
Cu5 0.0000 0.0000 0.8647
S1 0.0000 0.0000 0.0584
S2 0.0000 0.0000 0.3120
S3 0.0000 0.0000 0.5579
S4 0.0000 0.0000 0.8046
```

Most intense lines, 10° ≤ 2θ ≤ 90°, low angle first:
2θ (°)	d_spacing	I_rel	hkl
28.4	3.139	38	1 0 4
29.3	3.046	31	0 1 5
31.6	2.833	29	1 0 7
32.9	2.721	63	0 1 8
41.2	2.190	29	1 0 13
47.2	1.927	59	1 0 16
47.3	1.921	100	1 1 0
87.9	1.110	18	2 1 16